Computed powder X-ray diffraction pattern
Compound: SrMn2TeO6
Radiation: copper Kα
Structure: DFT lattice parameters and positions (PBE+U)
Kinematic intensities with the Lorentz-polarization factor, no thermal factor.

Peak list (10 most intense, 10° ≤ 2θ ≤ 80°, sorted by position)
Position (°2θ)	Rel. int.
22.13	39
31.00	81
31.98	100
36.36	20
39.23	18
45.14	45
50.16	28
56.38	34
56.99	26
67.58	20

```
data_SrMn2TeO6
_chemical_formula_sum 'Sr1 Mn2 Te1 O6'
_cell_length_a 5.7755
_cell_length_b 5.7755
_cell_length_c 5.7755
_cell_angle_alpha 57.97
_cell_angle_beta 57.97
_cell_angle_gamma 57.97
_space_group_name_H-M_alt 'P 1'
_space_group_IT_number 1
_space_group_name_Hall 'P 1'
loop_
_atom_site_label
_atom_site_fract_x
_atom_site_fract_y
_atom_site_fract_z
Sr1 0.0000 0.0000 0.0000
Mn1 0.2517 0.2517 0.2517
Mn2 0.7749 0.7749 0.7749
Te1 0.4612 0.4612 0.4612
O1 0.0599 0.5810 0.4617
O2 0.0982 0.5290 0.9210
O3 0.4617 0.0599 0.5810
O4 0.5290 0.9210 0.0982
O5 0.5810 0.4617 0.0599
O6 0.9210 0.0982 0.5290
```